# 1
Calculated powder X-ray diffraction pattern
Compound: Nd3Zn2BRh3
Radiation: Cu Ka
Structure: a crystal structure in Alexandria, relaxed with GGA-PBE
Neutral-atom scattering factors, no anomalous dispersion.

```
data_Nd3Zn2BRh3
_symmetry_space_group_name_H-M 'P 1'
_symmetry_Int_Tables_number 1
_symmetry_space_group_name_Hall 'P 1'
_cell_length_a 7.498
_cell_length_b 7.498
_cell_length_c 3.543
_cell_angle_alpha 90.00
_cell_angle_beta 90.00
_cell_angle_gamma 120.00
loop_
_atom_site_label
_atom_site_type_symbol
_atom_site_fract_x
_atom_site_fract_y
_atom_site_fract_z
Nd1 Nd 0.000 0.629 0.000
Nd2 Nd 0.371 0.371 0.000
Nd3 Nd 0.629 0.000 0.000
Zn1 Zn 0.333 0.667 0.500
Zn2 Zn 0.667 0.333 0.500
B1 B 0.000 0.000 0.000
Rh1 Rh 0.000 0.213 0.500
Rh2 Rh 0.213 0.000 0.500
Rh3 Rh 0.787 0.787 0.500
```

Principal peaks in the range 2θ from 5° to 70°, by angle:
d/Å, I/Imax
3.749, 18
2.575, 100
2.454, 43
2.394, 20
2.164, 20
2.017, 16
1.875, 14
1.771, 12
1.605, 12
1.436, 16
1.373, 9
1.371, 9



# 2
Calculated powder X-ray diffraction pattern
Compound: La3Al4Si6
Radiation: Cu Ka
Structure: a crystal structure in Alexandria, relaxed with GGA-PBE
Neutral-atom scattering factors, no anomalous dispersion.

```
data_La3Al4Si6
_symmetry_space_group_name_H-M 'P 1'
_symmetry_Int_Tables_number 1
_symmetry_space_group_name_Hall 'P 1'
_cell_length_a 4.202
_cell_length_b 4.202
_cell_length_c 18.462
_cell_angle_alpha 90.00
_cell_angle_beta 90.00
_cell_angle_gamma 120.00
loop_
_atom_site_label
_atom_site_type_symbol
_atom_site_fract_x
_atom_site_fract_y
_atom_site_fract_z
La1 La 0.000 0.000 0.000
La2 La 0.000 0.000 0.387
La3 La 0.000 0.000 0.613
Al1 Al 0.333 0.667 0.243
Al2 Al 0.333 0.667 0.859
Al3 Al 0.667 0.333 0.141
Al4 Al 0.667 0.333 0.757
Si1 Si 0.333 0.667 0.104
Si2 Si 0.333 0.667 0.497
Si3 Si 0.333 0.667 0.721
Si4 Si 0.667 0.333 0.279
Si5 Si 0.667 0.333 0.503
Si6 Si 0.667 0.333 0.896
```

Principal peaks in the range 2θ from 5° to 70°, by angle:
d/Å, I/Imax
9.231, 24
6.154, 18
3.639, 39
3.386, 37
3.133, 85
2.592, 100
2.308, 16
2.101, 58
1.949, 19
1.745, 15
1.632, 24
1.554, 27



# 3
Calculated powder X-ray diffraction pattern
Compound: Dy4ZnAg
Radiation: Cu Ka
Structure: a crystal structure in Alexandria, relaxed with GGA-PBE
Neutral-atom scattering factors, no anomalous dispersion.

```
data_Dy4ZnAg
_symmetry_space_group_name_H-M 'P 1'
_symmetry_Int_Tables_number 1
_symmetry_space_group_name_Hall 'P 1'
_cell_length_a 3.568
_cell_length_b 3.568
_cell_length_c 12.408
_cell_angle_alpha 90.00
_cell_angle_beta 90.00
_cell_angle_gamma 90.00
loop_
_atom_site_label
_atom_site_type_symbol
_atom_site_fract_x
_atom_site_fract_y
_atom_site_fract_z
Dy1 Dy 0.000 0.000 0.143
Dy2 Dy 0.000 0.000 0.857
Dy3 Dy 0.500 0.500 0.349
Dy4 Dy 0.500 0.500 0.651
Zn1 Zn 0.500 0.500 0.000
Ag1 Ag 0.000 0.000 0.500
```

Principal peaks in the range 2θ from 5° to 70°, by angle:
d/Å, I/Imax
3.429, 12
3.101, 9
2.702, 100
2.523, 46
2.068, 8
1.957, 8
1.784, 16
1.599, 14
1.587, 6
1.546, 4
1.489, 32
1.351, 8